[1]
Computed PXRD pattern of GeW4 for Cu Ka, from the GGA-PBE geometry in Alexandria.

Most intense lines, 2θ from 10° to 80°, most intense first:
d [Å]  intensity
2.618  1000
2.267  761
1.603  524
1.367  411
1.309  178
4.534  42
3.206  35
2.028  19
1.851  14
1.511  9

Crystal structure
Unit cell a=4.5342 b=4.5342 c=4.5342 alpha=90.00 beta=90.00 gamma=90.00
Positions (direct):
Ge  0.0000  0.0000  0.0000
W  0.0000  0.0000  0.5000
W  0.0000  0.5000  0.0000
W  0.5000  0.0000  0.0000
W  0.5000  0.5000  0.5000



[2]
Computed PXRD pattern of Pr3C for Cu Ka, from the GGA-PBE geometry in Alexandria.

Most intense lines, 2θ from 10° to 80°, most intense first:
d [Å]  intensity
3.083  1000
3.279  547
2.627  524
3.146  509
2.270  423
1.994  362
1.805  261
1.505  236
1.246  118
1.541  118

Crystal structure
Unit cell a=6.4040 b=6.4040 c=6.4040 alpha=148.77 beta=68.15 gamma=121.14
Positions (direct):
Pr  0.0000  0.0000  0.0000
Pr  0.3001  0.4596  0.8405
Pr  0.6190  0.4596  0.1595
C  0.3020  0.8020  0.5000



[3]
Computed PXRD pattern of XeO3 for Cu Ka, from the GGA-PBE geometry in Alexandria.

Most intense lines, 2θ from 10° to 80°, most intense first:
d [Å]  intensity
4.271  1000
3.012  343
4.247  324
3.487  224
3.462  185
2.135  153
2.988  147
1.908  140
3.053  133
2.006  121

Crystal structure
Unit cell a=5.9752 b=6.1069 c=8.4944 alpha=90.00 beta=90.00 gamma=90.00
Positions (direct):
Xe  0.2372  0.0013  0.3003
Xe  0.2628  0.9987  0.8003
Xe  0.7372  0.4987  0.6997
Xe  0.7628  0.5013  0.1997
O  0.0511  0.3697  0.2001
O  0.0619  0.2364  0.8237
O  0.2478  0.1311  0.5042
O  0.2522  0.8689  0.0042
O  0.4381  0.7636  0.3237
O  0.4489  0.6303  0.7001
O  0.5511  0.1303  0.7999
O  0.5619  0.2636  0.1763
O  0.7478  0.3689  0.4958
O  0.7522  0.6311  0.9958
O  0.9381  0.7364  0.6763
O  0.9489  0.8697  0.2999



[4]
Computed PXRD pattern of In2Re2Ir for Cu Ka, from the GGA-PBE geometry in Alexandria.

Most intense lines, 2θ from 10° to 80°, most intense first:
d [Å]  intensity
2.467  1000
2.200  550
1.872  387
1.426  281
1.724  230
2.887  183
2.647  176
1.268  166
6.800  127
1.210  127

Crystal structure
Unit cell a=7.2967 b=7.2967 c=7.2967 alpha=150.27 beta=150.27 gamma=42.54
Positions (direct):
In  0.2500  0.7500  0.5000
In  0.7500  0.2500  0.5000
Re  0.0858  0.0858  0.0000
Re  0.9142  0.9142  0.0000
Ir  0.5000  0.5000  0.0000



[5]
Computed PXRD pattern of Y4Mg7Cd for Cu Ka, from the GGA-PBE geometry in Alexandria.

Most intense lines, 2θ from 10° to 80°, most intense first:
d [Å]  intensity
2.639  1000
2.568  470
4.171  413
6.167  339
3.044  313
2.694  294
3.411  215
2.722  214
2.769  207
2.900  180

Crystal structure
Unit cell a=5.5394 b=6.5461 c=9.2313 alpha=70.44 beta=89.34 gamma=88.46
Positions (direct):
Y  0.0000  0.0000  0.0000
Y  0.0124  0.9072  0.6359
Y  0.4929  0.3815  0.8988
Y  0.5059  0.2889  0.5346
Mg  0.0041  0.6103  0.3561
Mg  0.2518  0.1454  0.2675
Mg  0.5016  0.6787  0.1786
Mg  0.5077  0.8971  0.8411
Mg  0.5174  0.7700  0.5181
Mg  0.9878  0.5191  0.0162
Mg  0.9980  0.3916  0.6935
Cd  0.7519  0.1441  0.2670



[6]
Computed PXRD pattern of CaPm4Tl4 for Cu Ka, from the GGA-PBE geometry in Alexandria.

Most intense lines, 2θ from 10° to 80°, most intense first:
d [Å]  intensity
2.999  1000
2.491  937
2.928  637
2.944  585
2.419  573
2.812  497
2.696  294
1.615  293
5.164  246
1.618  238

Crystal structure
Unit cell a=9.4828 b=9.4828 c=6.1575 alpha=90.00 beta=90.00 gamma=90.00
Positions (direct):
Ca  0.2500  0.2500  0.2500
Ca  0.7500  0.7500  0.7500
Pm  0.0882  0.8289  0.6216
Pm  0.1711  0.5882  0.1216
Pm  0.3289  0.9118  0.1216
Pm  0.4118  0.6711  0.6216
Pm  0.5882  0.3289  0.3784
Pm  0.6711  0.0882  0.8784
Pm  0.8289  0.4118  0.8784
Pm  0.9118  0.1711  0.3784
Tl  0.0440  0.1475  0.8694
Tl  0.1475  0.4560  0.6306
Tl  0.3525  0.0440  0.6306
Tl  0.4560  0.3525  0.8694
Tl  0.5440  0.6475  0.1306
Tl  0.6475  0.9560  0.3694
Tl  0.8525  0.5440  0.3694
Tl  0.9560  0.8525  0.1306



[7]
Computed PXRD pattern of MgTl6Bi2 for Cu Ka, from the GGA-PBE geometry in Alexandria.

Most intense lines, 2θ from 10° to 80°, most intense first:
d [Å]  intensity
2.623  1000
2.869  522
1.758  392
3.046  359
1.499  211
1.576  194
3.223  194
2.754  172
1.461  171
1.544  139

Crystal structure
Unit cell a=3.5175 b=3.5175 c=25.7862 alpha=90.00 beta=90.00 gamma=120.00
Positions (direct):
Mg  0.0000  0.0000  0.0000
Tl  0.0000  0.0000  0.2056
Tl  0.0000  0.0000  0.4312
Tl  0.0000  0.0000  0.5688
Tl  0.0000  0.0000  0.7944
Tl  0.3333  0.6667  0.0940
Tl  0.3333  0.6667  0.9060
Bi  0.3333  0.6667  0.3211
Bi  0.3333  0.6667  0.6789



[8]
Computed PXRD pattern of RbCo2RhCl8 for Cu Ka, from the GGA-PBE geometry in Alexandria.

Most intense lines, 2θ from 10° to 80°, most intense first:
d [Å]  intensity
4.319  1000
3.076  340
2.608  299
1.776  270
1.920  244
2.506  239
1.943  215
2.936  208
3.032  174
3.277  142

Crystal structure
Unit cell a=10.4544 b=10.4544 c=10.4544 alpha=34.22 beta=34.22 gamma=34.22
Positions (direct):
Rb  0.0000  0.0000  0.0000
Co  0.2358  0.2358  0.2358
Co  0.7642  0.7642  0.7642
Rh  0.5000  0.5000  0.5000
Cl  0.1434  0.4434  0.7701
Cl  0.2299  0.8566  0.5566
Cl  0.3103  0.3103  0.3103
Cl  0.4434  0.7701  0.1434
Cl  0.5566  0.2299  0.8566
Cl  0.6897  0.6897  0.6897
Cl  0.7701  0.1434  0.4434
Cl  0.8566  0.5566  0.2299



What is the formula in the second record?
Pr3C